1.
Starting from a DFT-relaxed cell (PBE, Alexandria), the PXRD pattern of Al3Ga3Ni10 was calculated for Cu Kα.
No peak broadening, texture or thermal motion is included.

Top 10 peaks for 10 to 90 degrees two-theta, by intensity:
2θ/deg, I_rel
43.4, 100
48.9, 18
48.6, 18
54.2, 12
87.7, 12
71.4, 10
87.2, 10
75.9, 8
75.7, 8
23.7, 3

Cell and atoms:
```
data_Al3Ga3Ni10
_cell_length_a 5.048
_cell_length_b 3.726
_cell_length_c 10.106
_cell_angle_alpha 90.00
_cell_angle_beta 95.78
_cell_angle_gamma 90.00
_space_group_name_H-M_alt 'P 1'
_space_group_IT_number 1
_space_group_name_Hall 'P 1'
loop_
_atom_site_label
_atom_site_type_symbol
_atom_site_fract_x
_atom_site_fract_y
_atom_site_fract_z
_atom_site_occupancy
Al1 Al 0.000 0.000 0.000 1
Al2 Al 0.000 0.000 0.498 1
Al3 Al 0.561 0.000 0.219 1
Ga1 Ga 0.277 0.500 0.861 1
Ga2 Ga 0.280 0.500 0.359 1
Ga3 Ga 0.561 0.000 0.718 1
Ni1 Ni 0.054 0.000 0.245 1
Ni2 Ni 0.054 0.000 0.745 1
Ni3 Ni 0.279 0.500 0.609 1
Ni4 Ni 0.281 0.500 0.110 1
Ni5 Ni 0.507 0.000 0.471 1
Ni6 Ni 0.507 0.000 0.974 1
Ni7 Ni 0.780 0.500 0.358 1
Ni8 Ni 0.780 0.500 0.860 1
Ni9 Ni 0.781 0.500 0.109 1
Ni10 Ni 0.782 0.500 0.608 1
```

---

2.
Starting from a DFT-relaxed cell (PBE, Alexandria), the PXRD pattern of AlGaNiOs was calculated for Cu Kα.
No peak broadening, texture or thermal motion is included.

Top 10 peaks for 10 to 90 degrees two-theta, by intensity:
2θ/deg, I_rel
43.5, 100
42.0, 55
15.5, 40
77.8, 35
33.4, 30
29.4, 27
60.9, 18
80.7, 16
45.0, 12
31.3, 11

Cell and atoms:
```
data_AlGaNiOs
_cell_length_a 3.041
_cell_length_b 3.041
_cell_length_c 5.716
_cell_angle_alpha 90.00
_cell_angle_beta 90.00
_cell_angle_gamma 90.00
_space_group_name_H-M_alt 'P 1'
_space_group_IT_number 1
_space_group_name_Hall 'P 1'
loop_
_atom_site_label
_atom_site_type_symbol
_atom_site_fract_x
_atom_site_fract_y
_atom_site_fract_z
_atom_site_occupancy
Al1 Al 0.000 0.000 0.000 1
Ga1 Ga 0.000 0.000 0.492 1
Ni1 Ni 0.500 0.500 0.250 1
Os1 Os 0.500 0.500 0.751 1
```

---

3.
Starting from a DFT-relaxed cell (PBE, Alexandria), the PXRD pattern of SmAlGaNi was calculated for Cu Kα.
No peak broadening, texture or thermal motion is included.

Top 10 peaks for 10 to 90 degrees two-theta, by intensity:
2θ/deg, I_rel
33.9, 100
44.1, 65
56.8, 51
25.7, 40
27.5, 39
38.1, 33
34.1, 21
74.6, 19
64.6, 18
53.1, 12

Cell and atoms:
```
data_SmAlGaNi
_cell_length_a 5.773
_cell_length_b 5.773
_cell_length_c 5.773
_cell_angle_alpha 41.67
_cell_angle_beta 41.67
_cell_angle_gamma 41.67
_space_group_name_H-M_alt 'P 1'
_space_group_IT_number 1
_space_group_name_Hall 'P 1'
loop_
_atom_site_label
_atom_site_type_symbol
_atom_site_fract_x
_atom_site_fract_y
_atom_site_fract_z
_atom_site_occupancy
Sm1 Sm 0.000 0.000 0.000 1
Al1 Al 0.794 0.794 0.794 1
Ga1 Ga 0.210 0.210 0.210 1
Ni1 Ni 0.499 0.499 0.499 1
```

---

4.
Starting from a DFT-relaxed cell (PBE, Alexandria), the PXRD pattern of Sm2AlGaNi6 was calculated for Cu Kα.
No peak broadening, texture or thermal motion is included.

Top 10 peaks for 10 to 90 degrees two-theta, by intensity:
2θ/deg, I_rel
30.4, 100
42.7, 73
44.3, 31
31.0, 31
43.9, 30
44.0, 24
34.8, 15
63.1, 14
61.6, 13
21.0, 12

Cell and atoms:
```
data_Sm2AlGaNi6
_cell_length_a 4.959
_cell_length_b 6.277
_cell_length_c 6.290
_cell_angle_alpha 80.84
_cell_angle_beta 66.81
_cell_angle_gamma 66.81
_space_group_name_H-M_alt 'P 1'
_space_group_IT_number 1
_space_group_name_Hall 'P 1'
loop_
_atom_site_label
_atom_site_type_symbol
_atom_site_fract_x
_atom_site_fract_y
_atom_site_fract_z
_atom_site_occupancy
Sm1 Sm 0.249 0.299 0.204 1
Sm2 Sm 0.751 0.701 0.796 1
Al1 Al 0.000 0.000 0.000 1
Ga1 Ga 0.500 0.500 0.500 1
Ni1 Ni 0.238 0.762 0.261 1
Ni2 Ni 0.249 0.923 0.578 1
Ni3 Ni 0.262 0.237 0.740 1
Ni4 Ni 0.738 0.763 0.260 1
Ni5 Ni 0.751 0.077 0.422 1
Ni6 Ni 0.762 0.238 0.739 1
```

---

5.
Starting from a DFT-relaxed cell (PBE, Alexandria), the PXRD pattern of TmAl2GaNi2 was calculated for Cu Kα.
No peak broadening, texture or thermal motion is included.

Top 10 peaks for 10 to 90 degrees two-theta, by intensity:
2θ/deg, I_rel
20.4, 100
38.7, 100
33.4, 88
41.5, 85
58.0, 61
32.6, 46
53.7, 44
29.0, 34
60.1, 28
26.1, 28

Cell and atoms:
```
data_TmAl2GaNi2
_cell_length_a 4.354
_cell_length_b 4.354
_cell_length_c 5.497
_cell_angle_alpha 90.00
_cell_angle_beta 90.00
_cell_angle_gamma 90.00
_space_group_name_H-M_alt 'P 1'
_space_group_IT_number 1
_space_group_name_Hall 'P 1'
loop_
_atom_site_label
_atom_site_type_symbol
_atom_site_fract_x
_atom_site_fract_y
_atom_site_fract_z
_atom_site_occupancy
Tm1 Tm 0.000 0.000 0.000 1
Al1 Al 0.500 0.500 0.247 1
Al2 Al 0.500 0.500 0.753 1
Ga1 Ga 0.000 0.000 0.500 1
Ni1 Ni 0.000 0.500 0.500 1
Ni2 Ni 0.500 0.000 0.500 1
```

---

6.
Starting from a DFT-relaxed cell (PBE, Alexandria), the PXRD pattern of YAl2GaNi2 was calculated for Cu Kα.
No peak broadening, texture or thermal motion is included.

Top 10 peaks for 10 to 90 degrees two-theta, by intensity:
2θ/deg, I_rel
41.4, 100
38.4, 97
33.2, 68
20.3, 62
15.9, 59
57.7, 57
32.2, 48
53.4, 44
60.0, 32
82.3, 25

Cell and atoms:
```
data_YAl2GaNi2
_cell_length_a 4.364
_cell_length_b 4.364
_cell_length_c 5.558
_cell_angle_alpha 90.00
_cell_angle_beta 90.00
_cell_angle_gamma 90.00
_space_group_name_H-M_alt 'P 1'
_space_group_IT_number 1
_space_group_name_Hall 'P 1'
loop_
_atom_site_label
_atom_site_type_symbol
_atom_site_fract_x
_atom_site_fract_y
_atom_site_fract_z
_atom_site_occupancy
Y1 Y 0.000 0.000 0.000 1
Al1 Al 0.500 0.500 0.248 1
Al2 Al 0.500 0.500 0.752 1
Ga1 Ga 0.000 0.000 0.500 1
Ni1 Ni 0.000 0.500 0.500 1
Ni2 Ni 0.500 0.000 0.500 1
```

---

7.
Starting from a DFT-relaxed cell (PBE, Alexandria), the PXRD pattern of Np3Al2Ga4 was calculated for Cu Kα.
No peak broadening, texture or thermal motion is included.

Top 10 peaks for 10 to 90 degrees two-theta, by intensity:
2θ/deg, I_rel
37.8, 100
21.7, 67
21.9, 35
38.1, 34
38.2, 33
38.4, 33
37.8, 19
69.0, 16
55.0, 14
68.7, 14

Cell and atoms:
```
data_Np3Al2Ga4
_cell_length_a 5.862
_cell_length_b 8.133
_cell_length_c 8.157
_cell_angle_alpha 60.39
_cell_angle_beta 89.96
_cell_angle_gamma 89.97
_space_group_name_H-M_alt 'P 1'
_space_group_IT_number 1
_space_group_name_Hall 'P 1'
loop_
_atom_site_label
_atom_site_type_symbol
_atom_site_fract_x
_atom_site_fract_y
_atom_site_fract_z
_atom_site_occupancy
Np1 Np 0.207 0.170 0.163 1
Np2 Np 0.209 0.830 0.837 1
Np3 Np 0.279 0.500 0.500 1
Np4 Np 0.721 0.500 0.500 1
Np5 Np 0.791 0.170 0.163 1
Np6 Np 0.793 0.830 0.837 1
Al1 Al 0.000 0.169 0.501 1
Al2 Al 0.000 0.831 0.499 1
Al3 Al 0.500 0.157 0.842 1
Al4 Al 0.500 0.843 0.158 1
Ga1 Ga 0.000 0.174 0.823 1
Ga2 Ga 0.000 0.498 0.178 1
Ga3 Ga 0.000 0.502 0.822 1
Ga4 Ga 0.000 0.826 0.177 1
Ga5 Ga 0.500 0.154 0.504 1
Ga6 Ga 0.500 0.497 0.844 1
Ga7 Ga 0.500 0.503 0.156 1
Ga8 Ga 0.500 0.846 0.496 1
```

---

8.
Starting from a DFT-relaxed cell (PBE, Alexandria), the PXRD pattern of NpAlGa6 was calculated for Cu Kα.
No peak broadening, texture or thermal motion is included.

Top 10 peaks for 10 to 90 degrees two-theta, by intensity:
2θ/deg, I_rel
38.3, 100
16.3, 27
36.0, 26
25.0, 24
36.3, 21
69.1, 18
53.7, 13
66.6, 10
42.7, 8
81.9, 8

Cell and atoms:
```
data_NpAlGa6
_cell_length_a 5.923
_cell_length_b 5.923
_cell_length_c 4.706
_cell_angle_alpha 90.00
_cell_angle_beta 90.00
_cell_angle_gamma 113.45
_space_group_name_H-M_alt 'P 1'
_space_group_IT_number 1
_space_group_name_Hall 'P 1'
loop_
_atom_site_label
_atom_site_type_symbol
_atom_site_fract_x
_atom_site_fract_y
_atom_site_fract_z
_atom_site_occupancy
Np1 Np 0.000 0.000 0.000 1
Al1 Al 0.500 0.500 0.000 1
Ga1 Ga 0.000 0.500 0.000 1
Ga2 Ga 0.211 0.789 0.500 1
Ga3 Ga 0.298 0.298 0.500 1
Ga4 Ga 0.500 0.000 0.000 1
Ga5 Ga 0.702 0.702 0.500 1
Ga6 Ga 0.789 0.211 0.500 1
```